Entry 1:
LiMnSiO4: calculated X-ray diffraction stick pattern (CuKα), based on the GGA+U geometry in the Materials Project.
Intensities are scaled so that the largest is 100.

Top 10 peaks for 15° ≤ 2θ ≤ 90°, sorted by position:
- 2θ = 18.76°, intensity 22
- 2θ = 19.24°, intensity 47
- 2θ = 22.80°, intensity 30
- 2θ = 31.27°, intensity 38
- 2θ = 31.57°, intensity 19
- 2θ = 35.91°, intensity 100
- 2θ = 38.02°, intensity 37
- 2θ = 43.91°, intensity 39
- 2θ = 50.03°, intensity 17
- 2θ = 65.93°, intensity 50

Crystal structure
Cell lengths 5.678, 5.678, 5.678 Å; angles 119.51, 116.79, 93.25 degrees
Sites, in units of the cell vectors:
Li (0.500, 0.000, 0.000)
Li (0.500, 0.500, 0.500)
Mn (0.000, 0.000, 0.000)
Mn (0.500, 0.000, 0.500)
Si (0.116, 0.366, 0.750)
Si (0.884, 0.634, 0.250)
O (0.228, 0.246, 0.982)
O (0.237, 0.754, 0.482)
O (0.243, 0.257, 0.515)
O (0.243, 0.728, 0.985)
O (0.757, 0.272, 0.015)
O (0.757, 0.743, 0.485)
O (0.763, 0.246, 0.518)
O (0.772, 0.754, 0.018)

***

Entry 2:
Li5Co3O8: calculated X-ray diffraction stick pattern (CuKα), based on the GGA+U geometry in the Materials Project.
Intensities are scaled so that the largest is 100.

Top 10 peaks for 15° ≤ 2θ ≤ 90°, sorted by position:
- 2θ = 18.49°, intensity 100
- 2θ = 35.57°, intensity 28
- 2θ = 37.45°, intensity 11
- 2θ = 42.90°, intensity 60
- 2θ = 45.77°, intensity 23
- 2θ = 56.74°, intensity 8
- 2θ = 62.22°, intensity 9
- 2θ = 62.34°, intensity 8
- 2θ = 64.15°, intensity 14
- 2θ = 64.90°, intensity 13

Crystal structure
Cell lengths 5.137, 5.137, 9.849 Å; angles 102.05, 102.05, 33.77 degrees
Sites, in units of the cell vectors:
Li (0.000, 0.000, 0.000)
Li (0.246, 0.246, 0.373)
Li (0.255, 0.255, 0.874)
Li (0.745, 0.745, 0.126)
Li (0.754, 0.754, 0.627)
Co (0.000, 0.000, 0.500)
Co (0.498, 0.498, 0.239)
Co (0.502, 0.502, 0.761)
O (0.112, 0.112, 0.192)
O (0.115, 0.115, 0.681)
O (0.381, 0.381, 0.080)
O (0.390, 0.390, 0.574)
O (0.610, 0.610, 0.426)
O (0.619, 0.619, 0.920)
O (0.885, 0.885, 0.319)
O (0.888, 0.888, 0.808)

***

Entry 3:
V2OF4: calculated X-ray diffraction stick pattern (CuKα), based on the GGA+U geometry in the Materials Project.
Intensities are scaled so that the largest is 100.

Top 10 peaks for 15° ≤ 2θ ≤ 90°, sorted by position:
- 2θ = 24.12°, intensity 100
- 2θ = 26.18°, intensity 29
- 2θ = 28.57°, intensity 47
- 2θ = 29.87°, intensity 35
- 2θ = 39.23°, intensity 22
- 2θ = 40.47°, intensity 25
- 2θ = 49.41°, intensity 22
- 2θ = 51.61°, intensity 30
- 2θ = 53.61°, intensity 22
- 2θ = 53.84°, intensity 28

Crystal structure
Cell lengths 4.927, 5.711, 6.867 Å; angles 77.93, 69.00, 89.99 degrees
Sites, in units of the cell vectors:
V (0.000, 0.000, 0.000)
V (0.219, 0.427, 0.547)
V (0.493, 0.500, 0.999)
V (0.726, 0.927, 0.548)
O (0.240, 0.464, 0.273)
O (0.980, 0.963, 0.274)
F (0.233, 0.345, 0.870)
F (0.388, 0.845, 0.870)
F (0.415, 0.751, 0.505)
F (0.572, 0.251, 0.505)
F (0.646, 0.176, 0.043)
F (0.805, 0.676, 0.040)
F (0.830, 0.581, 0.676)
F (0.984, 0.083, 0.677)

***

Entry 4:
KFe3H6S2O14: calculated X-ray diffraction stick pattern (CuKα), based on the GGA+U geometry in the Materials Project.
Intensities are scaled so that the largest is 100.

Top 10 peaks for 15° ≤ 2θ ≤ 90°, sorted by position:
- 2θ = 18.92°, intensity 60
- 2θ = 22.33°, intensity 100
- 2θ = 23.17°, intensity 74
- 2θ = 23.63°, intensity 63
- 2θ = 28.28°, intensity 94
- 2θ = 29.42°, intensity 24
- 2θ = 30.44°, intensity 33
- 2θ = 35.78°, intensity 39
- 2θ = 38.38°, intensity 38
- 2θ = 47.36°, intensity 30

Crystal structure
Cell lengths 8.599, 8.599, 8.599 Å; angles 66.12, 66.12, 66.12 degrees
Sites, in units of the cell vectors:
K (0.000, 0.000, 0.000)
Fe (0.000, 0.000, 0.500)
Fe (0.000, 0.500, 0.000)
Fe (0.500, 0.000, 0.000)
H (0.047, 0.496, 0.496)
H (0.496, 0.047, 0.496)
H (0.496, 0.496, 0.047)
H (0.504, 0.504, 0.953)
H (0.504, 0.953, 0.504)
H (0.953, 0.504, 0.504)
S (0.263, 0.263, 0.263)
S (0.737, 0.737, 0.737)
O (0.013, 0.013, 0.303)
O (0.013, 0.303, 0.013)
O (0.151, 0.151, 0.415)
O (0.151, 0.415, 0.151)
O (0.303, 0.013, 0.013)
O (0.335, 0.335, 0.335)
O (0.415, 0.151, 0.151)
O (0.585, 0.849, 0.849)
O (0.665, 0.665, 0.665)
O (0.697, 0.987, 0.987)
O (0.849, 0.585, 0.849)
O (0.849, 0.849, 0.585)
O (0.987, 0.697, 0.987)
O (0.987, 0.987, 0.697)

***

Entry 5:
Ca3Cr2Si4O14: calculated X-ray diffraction stick pattern (CuKα), based on the GGA+U geometry in the Materials Project.
Intensities are scaled so that the largest is 100.

Top 10 peaks for 15° ≤ 2θ ≤ 90°, sorted by position:
- 2θ = 27.93°, intensity 100
- 2θ = 28.63°, intensity 77
- 2θ = 28.90°, intensity 23
- 2θ = 30.34°, intensity 31
- 2θ = 31.18°, intensity 27
- 2θ = 31.42°, intensity 35
- 2θ = 31.58°, intensity 60
- 2θ = 31.99°, intensity 69
- 2θ = 39.19°, intensity 72
- 2θ = 44.24°, intensity 25

Crystal structure
Cell lengths 9.421, 9.421, 10.182 Å; angles 121.23, 121.23, 48.19 degrees
Sites, in units of the cell vectors:
Ca (0.156, 0.844, 0.750)
Ca (0.268, 0.335, 0.539)
Ca (0.335, 0.268, 0.039)
Ca (0.665, 0.732, 0.961)
Ca (0.732, 0.665, 0.461)
Ca (0.844, 0.156, 0.250)
Cr (0.291, 0.709, 0.250)
Cr (0.500, 0.500, 0.000)
Cr (0.500, 0.500, 0.500)
Cr (0.709, 0.291, 0.750)
Si (0.035, 0.618, 0.848)
Si (0.035, 0.712, 0.351)
Si (0.288, 0.965, 0.149)
Si (0.382, 0.965, 0.652)
Si (0.618, 0.035, 0.348)
Si (0.712, 0.035, 0.851)
Si (0.965, 0.288, 0.649)
Si (0.965, 0.382, 0.152)
O (0.001, 0.450, 0.821)
O (0.032, 0.606, 0.683)
O (0.037, 0.853, 0.307)
O (0.147, 0.963, 0.193)
O (0.159, 0.168, 0.089)
O (0.168, 0.159, 0.589)
O (0.216, 0.619, 0.500)
O (0.236, 0.575, 0.997)
O (0.381, 0.784, 0.000)
O (0.394, 0.462, 0.273)
O (0.394, 0.968, 0.817)
O (0.425, 0.764, 0.503)
O (0.450, 0.001, 0.321)
O (0.462, 0.394, 0.773)
O (0.538, 0.606, 0.227)
O (0.550, 0.999, 0.679)
O (0.575, 0.236, 0.497)
O (0.606, 0.032, 0.183)
O (0.606, 0.538, 0.727)
O (0.619, 0.216, 0.000)
O (0.764, 0.425, 0.003)
O (0.784, 0.381, 0.500)
O (0.832, 0.841, 0.411)
O (0.841, 0.832, 0.911)
O (0.853, 0.037, 0.807)
O (0.963, 0.147, 0.693)
O (0.968, 0.394, 0.317)
O (0.999, 0.550, 0.179)

***

Entry 6:
Al2W5O16: calculated X-ray diffraction stick pattern (CuKα), based on the GGA+U geometry in the Materials Project.
Intensities are scaled so that the largest is 100.

Top 10 peaks for 15° ≤ 2θ ≤ 90°, sorted by position:
- 2θ = 21.54°, intensity 39
- 2θ = 22.95°, intensity 100
- 2θ = 32.53°, intensity 28
- 2θ = 33.17°, intensity 54
- 2θ = 39.34°, intensity 20
- 2θ = 46.66°, intensity 24
- 2θ = 51.94°, intensity 17
- 2θ = 52.14°, intensity 21
- 2θ = 52.62°, intensity 21
- 2θ = 58.44°, intensity 23

Crystal structure
Cell lengths 20.814, 20.814, 20.814 Å; angles 169.27, 169.27, 15.20 degrees
Sites, in units of the cell vectors:
Al (0.250, 0.750, 0.500)
Al (0.750, 0.250, 0.500)
W (0.000, 0.000, 0.000)
W (0.092, 0.092, 0.000)
W (0.189, 0.189, 0.000)
W (0.811, 0.811, 0.000)
W (0.908, 0.908, 0.000)
O (0.000, 0.500, 0.500)
O (0.048, 0.048, 0.000)
O (0.096, 0.596, 0.500)
O (0.144, 0.144, 0.000)
O (0.205, 0.705, 0.500)
O (0.246, 0.246, 0.000)
O (0.295, 0.795, 0.500)
O (0.404, 0.904, 0.500)
O (0.500, 0.000, 0.500)
O (0.596, 0.096, 0.500)
O (0.705, 0.205, 0.500)
O (0.754, 0.754, 0.000)
O (0.795, 0.295, 0.500)
O (0.856, 0.856, 0.000)
O (0.904, 0.404, 0.500)
O (0.952, 0.952, 0.000)